Record 1
Computed X-ray powder pattern of Li2AlFeO4 for Cu Kα X-rays, from a DFT-relaxed cell (GGA+U, the Materials Project).
Kinematic intensities with the Lorentz-polarization factor, no thermal factor.

```
data_Li2AlFeO4
_cell_length_a 6.480
_cell_length_b 5.137
_cell_length_c 10.827
_cell_angle_alpha 90.00
_cell_angle_beta 90.05
_cell_angle_gamma 90.00
_space_group_name_H-M_alt 'P 1 21/c 1'
_space_group_IT_number 14
loop_
_space_group_symop_operation_xyz
'x,y,z'
'-x,-y,-z'
'-x,y+1/2,-z+1/2'
'x,-y+1/2,z+1/2'
loop_
_atom_site_label
_atom_site_fract_x
_atom_site_fract_y
_atom_site_fract_z
Li1 0.000 0.178 0.083
Li2 0.245 0.670 0.164
Al1 0.499 0.172 0.090
Fe1 0.239 0.170 0.333
O1 0.006 0.207 0.903
O2 0.275 0.701 0.844
O3 0.276 0.218 0.665
O4 0.487 0.186 0.922
```

Most intense lines, 2θ = 5–70°, in order of rising 2θ:
2θ (°)  d (Å)  I/Imax  h k l
21.38  4.155  1000  1 0 -2
22.08  4.026  886  1 1 0
23.58  3.773  422  1 1 1
27.61  3.231  662  1 1 2
32.20  2.780  754  2 0 2
33.10  2.707  540  0 0 4
34.93  2.569  619  0 2 0
58.55  1.576  472  2 0 -6

***

Record 2
Computed X-ray powder pattern of LiAlFeO4 for Cu Kα X-rays, from a DFT-relaxed cell (GGA+U, the Materials Project).
Kinematic intensities with the Lorentz-polarization factor, no thermal factor.

```
data_LiAlFeO4
_cell_length_a 9.331
_cell_length_b 2.904
_cell_length_c 10.373
_cell_angle_alpha 90.00
_cell_angle_beta 90.00
_cell_angle_gamma 90.00
_space_group_name_H-M_alt 'P n m a'
_space_group_IT_number 62
loop_
_space_group_symop_operation_xyz
'x,y,z'
'-x,-y,-z'
'-x+1/2,-y,z+1/2'
'x+1/2,y,-z+1/2'
'x+1/2,-y+1/2,-z+1/2'
'-x+1/2,y+1/2,z+1/2'
'-x,y+1/2,-z'
'x,-y+1/2,z'
loop_
_atom_site_label
_atom_site_fract_x
_atom_site_fract_y
_atom_site_fract_z
Li1 0.101 0.250 0.113
Al1 0.011 0.250 0.625
Fe1 0.231 0.750 0.841
O1 0.099 0.250 0.458
O2 0.109 0.750 0.693
O3 0.130 0.250 0.926
O4 0.143 0.750 0.254
```

Most intense lines, 2θ = 5–70°, in order of rising 2θ:
2θ (°)  d (Å)  I/Imax  h k l
12.76  6.937  370  1 0 1
17.10  5.187  181  0 0 2
19.58  4.533  1000  1 0 2
33.60  2.667  215  3 0 2
37.49  2.399  366  2 1 1
40.51  2.227  281  2 1 2
50.45  1.809  243  3 1 3
58.11  1.587  185  2 1 5

***

Record 3
Computed X-ray powder pattern of Li2AlFeO4 for Cu Kα X-rays, from a DFT-relaxed cell (GGA+U, the Materials Project).
Kinematic intensities with the Lorentz-polarization factor, no thermal factor.

```
data_Li2AlFeO4
_cell_length_a 6.296
_cell_length_b 5.420
_cell_length_c 10.916
_cell_angle_alpha 90.00
_cell_angle_beta 91.29
_cell_angle_gamma 90.00
_space_group_name_H-M_alt 'P 1 21/c 1'
_space_group_IT_number 14
loop_
_space_group_symop_operation_xyz
'x,y,z'
'-x,-y,-z'
'-x,y+1/2,-z+1/2'
'x,-y+1/2,z+1/2'
loop_
_atom_site_label
_atom_site_fract_x
_atom_site_fract_y
_atom_site_fract_z
Li1 0.011 0.173 0.174
Li2 0.246 0.170 0.920
Al1 0.497 0.684 0.832
Fe1 0.235 0.676 0.080
O1 0.026 0.686 0.665
O2 0.256 0.181 0.584
O3 0.290 0.698 0.420
O4 0.488 0.153 0.311
```

Most intense lines, 2θ = 5–70°, in order of rising 2θ:
2θ (°)  d (Å)  I/Imax  h k l
18.28  4.855  447  0 1 1
21.31  4.170  836  1 0 -2
21.64  4.107  1000  1 1 0
27.37  3.259  704  1 1 2
32.64  2.743  682  1 1 -3
33.06  2.710  702  0 2 0
33.18  2.700  790  2 0 2
58.77  1.571  484  1 3 -3